This entry pairs a crystal structure of Ba2Hg10Sb with its simulated powder XRD pattern. Radiation: copper Kα. Structure: a crystal structure in Alexandria, relaxed with PBE.
Kinematic intensities with the Lorentz-polarization factor, no thermal factor.

Largest 10 diffraction maxima, by angle, 10 to 90 degrees two-theta:
Position (°2θ)  Rel. int.
14.47  95
29.83  27
31.53  51
31.93  36
32.10  46
34.14  31
34.41  100
36.11  33
37.51  28
41.10  28

```
Ba2Hg10Sb
1.0
6.1229 0.0000 0.0000
0.0000 10.7122 0.0000
0.0000 0.0000 13.4236
Ba Hg Sb
4 20 2
Direct
0.0000 0.0565 0.0000 Ba
0.0000 0.4427 0.8375 Ba
0.0000 0.5573 0.3375 Ba
0.0000 0.9435 0.5000 Ba
0.2322 0.1420 0.7214 Hg
0.2321 0.3574 0.1168 Hg
0.2321 0.6426 0.6168 Hg
0.2322 0.8580 0.2214 Hg
0.5000 0.0343 0.3598 Hg
0.5000 0.0965 0.1364 Hg
0.5000 0.1963 0.5336 Hg
0.5000 0.3045 0.3046 Hg
0.5000 0.4036 0.7016 Hg
0.5000 0.4667 0.4784 Hg
0.5000 0.5333 0.9784 Hg
0.5000 0.5964 0.2016 Hg
0.5000 0.6955 0.8046 Hg
0.5000 0.8037 0.0336 Hg
0.5000 0.9035 0.6364 Hg
0.5000 0.9657 0.8598 Hg
0.7678 0.1420 0.7214 Hg
0.7679 0.3574 0.1168 Hg
0.7679 0.6426 0.6168 Hg
0.7678 0.8580 0.2214 Hg
0.5000 0.2495 0.9190 Sb
0.5000 0.7505 0.4190 Sb
```